No. 1
The following is a calculated X-ray powder pattern of CaHf2Cu. It was derived from a DFT-relaxed cell (PBE, Alexandria), using Cu Kα X-rays.

Crystal structure
```
data_CaHf2Cu
_chemical_formula_sum 'Ca4 Hf8 Cu4'
_symmetry_space_group_name_H-M 'F m -3 m'
_symmetry_Int_Tables_number 225
_symmetry_space_group_name_Hall '-F 4 2 3'
_cell_length_a 6.945
_cell_length_b 6.945
_cell_length_c 6.945
_cell_angle_alpha 90.00
_cell_angle_beta 90.00
_cell_angle_gamma 90.00
loop_
_atom_site_label
_atom_site_type_symbol
_atom_site_fract_x
_atom_site_fract_y
_atom_site_fract_z
Ca1 Ca 0.000 0.000 0.000
Hf1 Hf 0.250 0.250 0.250
Cu1 Cu 0.000 0.000 0.500
```

Most intense lines, 2θ from 15° to 90°, sorted by position:
hkl	two_theta	I/Imax
1 1 1	22.17	0.8
2 0 0	25.65	33.0
2 2 0	36.60	100.0
2 2 2	45.23	10.2
4 0 0	52.72	17.4
4 2 0	59.53	14.1
4 2 2	65.89	35.1
4 4 0	77.80	10.9
6 0 0	83.52	7.2
6 2 0	89.19	15.9

No. 2
The following is a calculated X-ray powder pattern of Ca3HfCu. It was derived from a DFT-relaxed cell (PBE, Alexandria), using Cu Kα X-rays.

Crystal structure
```
data_Ca3HfCu
_chemical_formula_sum 'Ca3 Hf1 Cu1'
_symmetry_space_group_name_H-M 'P m -3 m'
_symmetry_Int_Tables_number 221
_symmetry_space_group_name_Hall '-P 4 2 3'
_cell_length_a 5.455
_cell_length_b 5.455
_cell_length_c 5.455
_cell_angle_alpha 90.00
_cell_angle_beta 90.00
_cell_angle_gamma 90.00
loop_
_atom_site_label
_atom_site_type_symbol
_atom_site_fract_x
_atom_site_fract_y
_atom_site_fract_z
Ca1 Ca 0.000 0.000 0.500
Hf1 Hf 0.500 0.500 0.500
Cu1 Cu 0.000 0.000 0.000
```

Most intense lines, 2θ from 15° to 90°, sorted by position:
hkl	two_theta	I/Imax
1 1 0	23.06	100.0
1 1 1	28.34	54.5
2 0 0	32.84	70.2
2 1 1	40.51	47.2
2 2 0	47.12	49.5
3 1 0	53.09	21.6
3 1 1	55.90	23.2
2 2 2	58.63	16.7
3 2 1	63.85	24.7
4 1 1	73.68	12.2
4 2 0	78.40	20.7
4 2 2	87.64	15.8

No. 3
The following is a calculated X-ray powder pattern of Ca6Cu2Hg. It was derived from a DFT-relaxed cell (PBE, Alexandria), using Cu Kα X-rays.

Crystal structure
```
data_Ca6Cu2Hg
_chemical_formula_sum 'Ca24 Cu8 Hg4'
_symmetry_space_group_name_H-M 'I m m m'
_symmetry_Int_Tables_number 71
_symmetry_space_group_name_Hall '-I 2 2'
_cell_length_a 9.816
_cell_length_b 10.112
_cell_length_c 10.866
_cell_angle_alpha 90.00
_cell_angle_beta 90.00
_cell_angle_gamma 90.00
loop_
_atom_site_label
_atom_site_type_symbol
_atom_site_fract_x
_atom_site_fract_y
_atom_site_fract_z
Ca1 Ca 0.000 0.197 0.237
Ca2 Ca 0.198 0.500 0.174
Ca3 Ca 0.217 0.318 0.500
Cu1 Cu 0.000 0.370 0.000
Cu2 Cu 0.000 0.500 0.385
Hg1 Hg 0.000 0.000 0.000
Hg2 Hg 0.000 0.000 0.500
```

Most intense lines, 2θ from 15° to 90°, sorted by position:
hkl	two_theta	I/Imax
0 0 2	16.32	42.4
0 2 0	17.54	35.1
2 0 0	18.07	49.7
1 1 2	20.65	28.4
2 2 2	30.24	100.0
2 1 3	31.96	24.4
1 3 2	32.57	75.9
2 3 1	33.28	25.1
0 4 0	35.44	41.8
4 0 0	36.62	28.9
3 3 2	41.94	22.7
3 1 4	44.27	29.0

No. 4
The following is a calculated X-ray powder pattern of Sr4CaPr2Cu4HgO14. It was derived from a DFT-relaxed cell (PBE, Alexandria), using Cu Kα X-rays.

Crystal structure
```
data_Sr4CaPr2Cu4HgO14
_chemical_formula_sum 'Sr8 Ca2 Pr4 Cu8 Hg2 O28'
_symmetry_space_group_name_H-M 'I -4 m 2'
_symmetry_Int_Tables_number 119
_symmetry_space_group_name_Hall 'I -4 -2'
_cell_length_a 5.390
_cell_length_b 5.390
_cell_length_c 24.957
_cell_angle_alpha 90.00
_cell_angle_beta 90.00
_cell_angle_gamma 90.00
loop_
_atom_site_label
_atom_site_type_symbol
_atom_site_fract_x
_atom_site_fract_y
_atom_site_fract_z
Sr1 Sr 0.000 0.000 0.143
Sr2 Sr 0.000 0.000 0.355
Ca1 Ca 0.000 0.000 0.000
Pr1 Pr 0.000 0.000 0.500
Pr2 Pr 0.000 0.500 0.750
Cu1 Cu 0.000 0.500 0.071
Cu2 Cu 0.000 0.500 0.574
Hg1 Hg 0.000 0.500 0.250
O1 O 0.000 0.000 0.250
O2 O 0.000 0.500 0.164
O3 O 0.000 0.500 0.659
O4 O 0.248 0.251 0.064
```

Most intense lines, 2θ from 15° to 90°, sorted by position:
hkl	two_theta	I/Imax
1 1 2	24.42	16.4
1 1 4	27.42	18.3
1 1 6	31.85	100.0
2 0 0	33.25	67.4
0 0 10	35.99	10.7
2 0 8	44.42	18.3
2 2 0	47.73	35.6
2 0 12	55.87	18.8
3 1 6	58.53	35.7
4 0 0	69.80	10.6
3 1 14	77.46	9.8
4 2 0	79.54	10.7

No. 5
The following is a calculated X-ray powder pattern of Sr6CaY2TiCu6Hg2O20. It was derived from a DFT-relaxed cell (PBE, Alexandria), using Cu Kα X-rays.

Crystal structure
```
data_Sr6CaY2TiCu6Hg2O20
_chemical_formula_sum 'Sr6 Ca1 Y2 Ti1 Cu6 Hg2 O20'
_symmetry_space_group_name_H-M 'P m m m'
_symmetry_Int_Tables_number 47
_cell_length_a 3.762
_cell_length_b 11.622
_cell_length_c 12.123
_cell_angle_alpha 90.00
_cell_angle_beta 90.00
_cell_angle_gamma 90.00
loop_
_symmetry_equiv_pos_as_xyz
'x,y,z'
'-x,-y,-z'
'-x,-y,z'
'x,y,-z'
'x,-y,-z'
'-x,y,z'
'-x,y,-z'
'x,-y,z'
loop_
_atom_site_label
_atom_site_type_symbol
_atom_site_fract_x
_atom_site_fract_y
_atom_site_fract_z
Sr1 Sr 0.000 0.000 0.225
Sr2 Sr 0.000 0.338 0.204
Ca1 Ca 0.000 0.000 0.500
Y1 Y 0.000 0.332 0.500
Ti1 Ti 0.500 0.500 0.000
Cu1 Cu 0.500 0.167 0.366
Cu2 Cu 0.500 0.500 0.366
Hg1 Hg 0.500 0.169 0.000
O1 O 0.000 0.172 0.377
O2 O 0.000 0.387 0.000
O3 O 0.000 0.500 0.379
O4 O 0.500 0.000 0.368
O5 O 0.500 0.165 0.168
O6 O 0.500 0.334 0.377
O7 O 0.500 0.500 0.156
```

Most intense lines, 2θ from 15° to 90°, sorted by position:
hkl	two_theta	I/Imax
0 3 2	27.32	23.2
1 0 2	27.91	20.2
0 3 3	32.00	71.8
1 0 3	32.52	67.8
1 3 0	33.19	100.0
0 0 5	37.08	19.6
1 3 4	44.98	19.6
0 6 0	46.91	27.7
2 0 0	48.39	28.6
1 3 5	50.61	17.5
1 6 3	58.24	27.5
2 3 3	59.19	24.8

No. 6
The following is a calculated X-ray powder pattern of CaZnCu2Hg. It was derived from a DFT-relaxed cell (PBE, Alexandria), using Cu Kα X-rays.

Crystal structure
```
data_CaZnCu2Hg
_chemical_formula_sum 'Ca1 Zn1 Cu2 Hg1'
_symmetry_space_group_name_H-M 'P 4/m m m'
_symmetry_Int_Tables_number 123
_symmetry_space_group_name_Hall '-P 4 2'
_cell_length_a 5.427
_cell_length_b 5.427
_cell_length_c 6.141
_cell_angle_alpha 90.00
_cell_angle_beta 90.00
_cell_angle_gamma 90.00
loop_
_atom_site_label
_atom_site_type_symbol
_atom_site_fract_x
_atom_site_fract_y
_atom_site_fract_z
Ca1 Ca 0.000 0.000 0.000
Zn1 Zn 0.500 0.500 0.500
Cu1 Cu 0.000 0.500 0.000
Hg1 Hg 0.000 0.000 0.500
```

Most intense lines, 2θ from 15° to 90°, sorted by position:
hkl	two_theta	I/Imax
1 0 0	16.33	36.2
1 1 0	23.18	17.0
1 1 1	27.41	100.0
0 0 2	29.08	32.8
2 0 0	33.01	47.1
1 0 2	33.53	12.8
2 0 2	44.56	40.5
2 2 0	47.39	18.2
1 1 3	50.53	20.7
3 1 1	55.61	27.8
2 2 2	56.56	19.5
3 1 3	71.77	14.3

No. 7
The following is a calculated X-ray powder pattern of Sr4CaHoCu6Pb4O16. It was derived from a DFT-relaxed cell (PBE, Alexandria), using Cu Kα X-rays.

Crystal structure
```
data_Sr4CaHoCu6Pb4O16
_chemical_formula_sum 'Sr4 Ca1 Ho1 Cu6 Pb4 O16'
_symmetry_space_group_name_H-M 'P -1'
_symmetry_Int_Tables_number 2
_cell_length_a 5.409
_cell_length_b 5.441
_cell_length_c 15.945
_cell_angle_alpha 89.97
_cell_angle_beta 89.32
_cell_angle_gamma 90.00
loop_
_symmetry_equiv_pos_as_xyz
'x,y,z'
'-x,-y,-z'
loop_
_atom_site_label
_atom_site_type_symbol
_atom_site_fract_x
_atom_site_fract_y
_atom_site_fract_z
Sr1 Sr 0.009 0.000 0.282
Sr2 Sr 0.491 0.501 0.720
Ca1 Ca 0.000 0.000 0.500
Ho1 Ho 0.500 0.500 0.500
Cu1 Cu 0.000 0.000 0.000
Cu2 Cu 0.005 0.499 0.395
Cu3 Cu 0.495 0.000 0.605
Cu4 Cu 0.500 0.500 0.000
Pb1 Pb 0.000 0.494 0.888
Pb2 Pb 0.500 0.006 0.888
O1 O 0.010 0.489 0.249
O2 O 0.052 0.940 0.114
O3 O 0.251 0.256 0.595
O4 O 0.252 0.745 0.593
O5 O 0.259 0.255 0.407
O6 O 0.260 0.744 0.405
O7 O 0.448 0.440 0.886
O8 O 0.490 0.991 0.751
```

Most intense lines, 2θ from 15° to 90°, sorted by position:
hkl	two_theta	I/Imax
1 1 1	23.85	44.8
0 0 5	27.98	19.2
1 1 4	32.25	95.4
1 1 -4	32.53	100.0
0 2 0	32.92	66.4
2 0 0	33.13	65.7
2 0 5	43.68	20.3
2 2 0	47.40	61.1
1 3 4	58.41	36.0
-1 3 4	58.54	19.7
-3 1 4	58.97	20.0
2 4 0	78.77	19.0

No. 8
The following is a calculated X-ray powder pattern of CaHo2CuSi4O12. It was derived from a DFT-relaxed cell (PBE, Alexandria), using Cu Kα X-rays.

Crystal structure
```
data_CaHo2CuSi4O12
_chemical_formula_sum 'Ca1 Ho2 Cu1 Si4 O12'
_symmetry_space_group_name_H-M 'P -1'
_symmetry_Int_Tables_number 2
_cell_length_a 5.242
_cell_length_b 7.521
_cell_length_c 7.990
_cell_angle_alpha 61.97
_cell_angle_beta 84.40
_cell_angle_gamma 77.92
loop_
_symmetry_equiv_pos_as_xyz
'x,y,z'
'-x,-y,-z'
loop_
_atom_site_label
_atom_site_type_symbol
_atom_site_fract_x
_atom_site_fract_y
_atom_site_fract_z
Ca1 Ca 0.000 0.000 0.000
Ho1 Ho 0.500 0.213 0.574
Cu1 Cu 0.500 0.000 0.000
Si1 Si 0.082 0.570 0.233
Si2 Si 0.082 0.803 0.767
O1 O 0.001 0.345 0.311
O2 O 0.152 0.670 0.000
O3 O 0.164 0.016 0.250
O4 O 0.164 0.265 0.750
O5 O 0.334 0.895 0.648
O6 O 0.335 0.543 0.352
```

Most intense lines, 2θ from 15° to 90°, sorted by position:
hkl	two_theta	I/Imax
1 0 0	17.30	28.7
1 0 1	21.43	100.0
-1 1 1	23.99	33.3
0 2 1	24.20	33.6
1 2 1	26.71	85.3
-1 1 2	30.02	26.4
1 0 2	30.78	53.5
0 1 3	34.04	50.0
2 0 0	35.01	31.9
0 2 -1	35.24	47.1
1 1 3	37.22	26.4
1 -1 2	39.62	29.5

No. 9
The following is a calculated X-ray powder pattern of CaCuI. It was derived from a DFT-relaxed cell (PBE, Alexandria), using Cu Kα X-rays.

Crystal structure
```
data_CaCuI
_chemical_formula_sum 'Ca6 Cu6 I6'
_symmetry_space_group_name_H-M 'R -3 m'
_symmetry_Int_Tables_number 166
_symmetry_space_group_name_Hall '-R 3 2"'
_cell_length_a 4.3751
_cell_length_b 4.3751
_cell_length_c 34.0715
_cell_angle_alpha 90.00
_cell_angle_beta 90.00
_cell_angle_gamma 120.00
loop_
_atom_site_label
_atom_site_type_symbol
_atom_site_fract_x
_atom_site_fract_y
_atom_site_fract_z
Ca1 Ca 0.0000 0.0000 0.0545
Cu1 Cu 0.0000 0.0000 0.3332
I1 I 0.0000 0.0000 0.2248
```

Most intense lines, 2θ from 15° to 90°, sorted by position:
hkl	two_theta	I/Imax
0 0 9	23.50	43.8
0 1 2	24.06	79.7
1 0 4	25.73	26.3
1 0 7	29.88	100.0
0 1 11	37.50	63.5
1 1 0	41.27	72.4
0 0 18	48.04	53.3
0 2 7	51.78	20.4
2 0 11	56.98	18.0
1 1 18	65.17	33.8
2 1 7	68.27	17.2
1 2 11	72.75	16.9

No. 10
The following is a calculated X-ray powder pattern of Rb2CaCu2I6. It was derived from a DFT-relaxed cell (PBE, Alexandria), using Cu Kα X-rays.

Crystal structure
```
data_Rb2CaCu2I6
_chemical_formula_sum 'Rb4 Ca2 Cu4 I12'
_symmetry_space_group_name_H-M 'C 1 2/m 1'
_symmetry_Int_Tables_number 12
_cell_length_a 14.288
_cell_length_b 8.421
_cell_length_c 9.112
_cell_angle_alpha 90.00
_cell_angle_beta 119.65
_cell_angle_gamma 90.00
loop_
_symmetry_equiv_pos_as_xyz
'x,y,z'
'-x,-y,-z'
'-x,y,-z'
'x,-y,z'
'x+1/2,y+1/2,z'
'-x+1/2,-y+1/2,-z'
'-x+1/2,y+1/2,-z'
'x+1/2,-y+1/2,z'
loop_
_atom_site_label
_atom_site_type_symbol
_atom_site_fract_x
_atom_site_fract_y
_atom_site_fract_z
Rb1 Rb 0.217 0.000 0.199
Ca1 Ca 0.000 0.000 0.500
Cu1 Cu 0.051 0.500 0.264
I1 I 0.055 0.244 0.795
I2 I 0.248 0.000 0.623
```

Most intense lines, 2θ from 15° to 90°, sorted by position:
hkl	two_theta	I/Imax
2 0 -2	19.75	25.1
0 0 2	22.50	100.0
0 2 1	23.94	23.0
2 2 -1	24.89	30.3
4 0 -1	25.10	32.0
2 2 0	25.56	66.3
2 2 -2	29.06	39.9
2 2 1	30.77	23.3
4 2 1	42.03	22.4
0 4 0	42.96	23.9
6 2 -1	44.91	27.0
6 2 -3	45.56	28.9

No. 11
The following is a calculated X-ray powder pattern of CaIn6Cu. It was derived from a DFT-relaxed cell (PBE, Alexandria), using Cu Kα X-rays.

Crystal structure
```
data_CaIn6Cu
_chemical_formula_sum 'Ca2 In12 Cu2'
_symmetry_space_group_name_H-M 'A m m 2'
_symmetry_Int_Tables_number 38
_cell_length_a 4.663
_cell_length_b 8.466
_cell_length_c 10.195
_cell_angle_alpha 90.00
_cell_angle_beta 90.00
_cell_angle_gamma 90.00
loop_
_symmetry_equiv_pos_as_xyz
'x,y,z'
'-x,-y,z'
'-x,y,z'
'x,-y,z'
'x,y+1/2,z+1/2'
'-x,-y+1/2,z+1/2'
'-x,y+1/2,z+1/2'
'x,-y+1/2,z+1/2'
loop_
_atom_site_label
_atom_site_type_symbol
_atom_site_fract_x
_atom_site_fract_y
_atom_site_fract_z
Ca1 Ca 0.000 0.000 0.000
In1 In 0.000 0.230 0.267
In2 In 0.500 0.000 0.220
In3 In 0.500 0.000 0.773
In4 In 0.500 0.194 0.500
Cu1 Cu 0.000 0.000 0.603
```

Most intense lines, 2θ from 15° to 90°, sorted by position:
hkl	two_theta	I/Imax
0 3 1	32.93	8.0
1 2 2	33.57	100.0
1 1 3	34.33	16.1
0 0 4	35.21	17.9
1 3 1	38.31	11.0
2 0 0	38.62	23.5
0 4 0	42.71	10.5
2 0 4	53.25	10.6
2 4 0	58.94	6.8
1 2 6	62.14	7.8
1 5 3	64.67	7.1
3 2 2	66.68	12.8

No. 12
The following is a calculated X-ray powder pattern of CaIn2Cu9. It was derived from a DFT-relaxed cell (PBE, Alexandria), using Cu Kα X-rays.

Crystal structure
```
data_CaIn2Cu9
_chemical_formula_sum 'Ca2 In4 Cu18'
_symmetry_space_group_name_H-M 'P 4/m b m'
_symmetry_Int_Tables_number 127
_symmetry_space_group_name_Hall '-P 4 2ab'
_cell_length_a 8.469
_cell_length_b 8.469
_cell_length_c 5.072
_cell_angle_alpha 90.00
_cell_angle_beta 90.00
_cell_angle_gamma 90.00
loop_
_atom_site_label
_atom_site_type_symbol
_atom_site_fract_x
_atom_site_fract_y
_atom_site_fract_z
Ca1 Ca 0.000 0.000 0.000
In1 In 0.125 0.375 0.000
Cu1 Cu 0.000 0.500 0.500
Cu2 Cu 0.064 0.205 0.500
Cu3 Cu 0.176 0.676 0.246
```

Most intense lines, 2θ from 15° to 90°, sorted by position:
hkl	two_theta	I/Imax
2 1 1	29.43	13.1
0 0 2	35.39	14.0
3 1 1	38.00	74.9
2 0 2	41.50	19.4
3 2 1	42.41	51.2
2 1 2	42.92	100.0
4 1 0	44.09	43.8
3 3 0	45.44	26.7
4 0 1	46.48	21.6
4 1 1	47.78	11.9
3 1 3	65.26	12.8
5 2 2	70.45	15.1